[1]
Zn12NiRh2: computed powder diffraction line list (Cu Ka), based on a crystal structure in Alexandria, relaxed with GGA-PBE.

Most intense lines, 2θ from 5° to 70°, in order of falling intensity:
Position (°2θ)	I/Imax	(hkl)
43.99	100	2 2 4
42.98	57	2 0 7
42.64	45	4 0 -1
34.30	31	0 2 3
41.56	22	2 2 -4
55.82	14	4 2 -4
64.29	12	0 4 0
37.68	11	2 2 -1
14.62	9	0 0 3
39.67	8	0 0 8
46.88	8	2 2 -6
32.43	7	0 2 2

```
data_Zn12NiRh2
_space_group_name_H-M_alt 'C 1 2/m 1'
_space_group_IT_number 12
_cell_length_a 8.482
_cell_length_b 5.796
_cell_length_c 18.302
_cell_angle_alpha 90.00
_cell_angle_beta 96.69
_cell_angle_gamma 90.00
loop_
_space_group_symop_operation_xyz
'x,y,z'
'-x,-y,-z'
'-x,y,-z'
'x,-y,z'
'x+1/2,y+1/2,z'
'-x+1/2,-y+1/2,-z'
'-x+1/2,y+1/2,-z'
'x+1/2,-y+1/2,z'
loop_
_atom_site_label
_atom_site_fract_x
_atom_site_fract_y
_atom_site_fract_z
_atom_site_occupancy
Zn1 0.029 0.000 0.113 1
Zn2 0.029 0.500 0.114 1
Zn3 0.072 0.000 0.288 1
Zn4 0.072 0.500 0.288 1
Zn5 0.104 0.250 0.415 1
Zn6 0.138 0.000 0.550 1
Zn7 0.138 0.500 0.550 1
Zn8 0.198 0.000 0.795 1
Zn9 0.199 0.500 0.795 1
Zn10 0.232 0.250 0.927 1
Ni1 0.000 0.251 0.000 1
Rh1 0.168 0.250 0.673 1
```

[2]
ZnNi5Rh2: computed powder diffraction line list (Cu Ka), based on a crystal structure in Alexandria, relaxed with GGA-PBE.

Most intense lines, 2θ from 5° to 70°, in order of falling intensity:
Position (°2θ)	I/Imax	(hkl)
42.68	100	2 2 0
43.10	96	0 2 4
49.76	62	2 0 4
50.31	30	0 4 0
17.23	7	0 0 2
30.14	5	0 2 2
24.54	5	0 2 0
38.68	2	2 0 2
46.35	2	2 2 2
56.24	2	2 2 4
34.36	2	2 0 0
34.86	2	0 0 4

```
data_ZnNi5Rh2
_space_group_name_H-M_alt 'F m m m'
_space_group_IT_number 69
_space_group_name_Hall '-F 2 2'
_cell_length_a 5.219
_cell_length_b 7.255
_cell_length_c 10.295
_cell_angle_alpha 90.00
_cell_angle_beta 90.00
_cell_angle_gamma 90.00
loop_
_atom_site_label
_atom_site_fract_x
_atom_site_fract_y
_atom_site_fract_z
_atom_site_occupancy
Zn1 0.000 0.000 0.000 1
Ni1 0.000 0.000 0.500 1
Ni2 0.250 0.250 0.123 1
Rh1 0.000 0.000 0.255 1
```

[3]
ZnNi6Rh: computed powder diffraction line list (Cu Ka), based on a crystal structure in Alexandria, relaxed with GGA-PBE.

Most intense lines, 2θ from 5° to 70°, in order of falling intensity:
Position (°2θ)	I/Imax	(hkl)
43.53	100	2 4 0
50.70	47	4 0 0
24.72	2	2 0 0
35.25	2	0 4 0
57.20	1	4 2 2
8.68	1	0 0 1
63.26	1	4 4 0
15.07	1	1 1 0
23.10	1	1 1 2

```
data_ZnNi6Rh
_space_group_name_H-M_alt 'C m m m'
_space_group_IT_number 65
_space_group_name_Hall '-C 2 2'
_cell_length_a 7.196
_cell_length_b 10.190
_cell_length_c 10.189
_cell_angle_alpha 90.00
_cell_angle_beta 90.00
_cell_angle_gamma 90.00
loop_
_atom_site_label
_atom_site_fract_x
_atom_site_fract_y
_atom_site_fract_z
_atom_site_occupancy
Zn1 0.000 0.000 0.248 1
Zn2 0.000 0.250 0.000 1
Ni1 0.000 0.000 0.000 1
Ni2 0.000 0.000 0.500 1
Ni3 0.000 0.250 0.250 1
Ni4 0.000 0.500 0.000 1
Ni5 0.000 0.500 0.500 1
Ni6 0.249 0.125 0.124 1
Ni7 0.249 0.125 0.374 1
Rh1 0.000 0.250 0.500 1
Rh2 0.000 0.500 0.248 1
```